No. 1
PrZn2Cu10: computed powder diffraction line list (Cu Kα (λ = 1.5418 Å)), based on the GGA-PBE geometry in Alexandria.
Intensities are scaled so that the largest is 100.

Most intense lines, 15° ≤ 2θ ≤ 90°, low angle first:
two_theta, d [Å], I/Imax
36.2, 2.483, 34.9
41.4, 2.179, 39.4
41.8, 2.160, 52.1
42.4, 2.131, 100.0
47.2, 1.924, 17.4
76.8, 1.242, 16.8

a b c (Å): 8.645 6.675 6.496
angles (deg): 82.04 49.88 48.09
Positions (direct):
Pr: 0.000 0.000 0.000
Zn: 0.000 0.500 0.000
Zn: 0.500 0.000 0.500
Cu: 0.000 0.000 0.500
Cu: 0.005 0.643 0.357
Cu: 0.273 0.502 0.498
Cu: 0.357 0.995 0.005
Cu: 0.498 0.727 0.273
Cu: 0.500 0.500 0.000
Cu: 0.502 0.273 0.727
Cu: 0.643 0.005 0.995
Cu: 0.727 0.498 0.502
Cu: 0.995 0.357 0.643

---

No. 2
TbPmMgCo: computed powder diffraction line list (Cu Kα (λ = 1.5418 Å)), based on the GGA-PBE geometry in Alexandria.
Intensities are scaled so that the largest is 100.

Most intense lines, 15° ≤ 2θ ≤ 90°, low angle first:
two_theta, d [Å], I/Imax
25.8, 3.454, 41.0
34.0, 2.637, 100.0
36.8, 2.442, 54.0
42.3, 2.137, 35.8
53.0, 1.727, 18.7
64.5, 1.445, 30.4

a b c (Å): 3.454 3.454 8.164
angles (deg): 90.00 90.00 90.00
Positions (direct):
Tb: 0.000 0.000 0.000
Pm: 0.000 0.000 0.595
Mg: 0.500 0.500 0.291
Co: 0.500 0.500 0.806

---

No. 3
ErTl2CuF6: computed powder diffraction line list (Cu Kα (λ = 1.5418 Å)), based on the GGA-PBE geometry in Alexandria.
Intensities are scaled so that the largest is 100.

Most intense lines, 15° ≤ 2θ ≤ 90°, low angle first:
two_theta, d [Å], I/Imax
15.1, 5.864, 33.4
22.2, 4.006, 88.3
28.2, 3.167, 100.0
32.1, 2.786, 36.0
36.2, 2.484, 32.1
42.0, 2.151, 80.2

a b c (Å): 6.334 6.334 5.864
angles (deg): 90.00 90.00 120.00
Positions (direct):
Er: 0.000 0.000 0.000
Tl: 0.333 0.667 0.529
Tl: 0.667 0.333 0.471
Cu: 0.000 0.000 0.500
F: 0.152 0.304 0.239
F: 0.152 0.848 0.239
F: 0.304 0.152 0.761
F: 0.696 0.848 0.239
F: 0.848 0.152 0.761
F: 0.848 0.696 0.761

---

No. 4
Tl10Hg3Pb3: computed powder diffraction line list (Cu Kα (λ = 1.5418 Å)), based on the GGA-PBE geometry in Alexandria.
Intensities are scaled so that the largest is 100.

Most intense lines, 15° ≤ 2θ ≤ 90°, low angle first:
two_theta, d [Å], I/Imax
28.6, 3.126, 29.4
31.8, 2.810, 100.0
32.5, 2.757, 52.0
33.7, 2.661, 76.6
47.5, 1.915, 19.3
51.8, 1.764, 26.3

a b c (Å): 9.550 9.550 6.410
angles (deg): 90.00 90.00 120.00
Positions (direct):
Tl: 0.000 0.263 0.000
Tl: 0.000 0.766 0.500
Tl: 0.234 0.234 0.500
Tl: 0.263 0.000 0.000
Tl: 0.333 0.667 0.247
Tl: 0.333 0.667 0.753
Tl: 0.667 0.333 0.247
Tl: 0.667 0.333 0.753
Tl: 0.737 0.737 0.000
Tl: 0.766 0.000 0.500
Hg: 0.000 0.617 0.000
Hg: 0.383 0.383 0.000
Hg: 0.617 0.000 0.000
Pb: 0.000 0.404 0.500
Pb: 0.404 0.000 0.500
Pb: 0.596 0.596 0.500

---

No. 5
HfZrNi10: computed powder diffraction line list (Cu Kα (λ = 1.5418 Å)), based on the GGA-PBE geometry in Alexandria.
Intensities are scaled so that the largest is 100.

Most intense lines, 15° ≤ 2θ ≤ 90°, low angle first:
two_theta, d [Å], I/Imax
31.4, 2.848, 44.3
38.0, 2.367, 29.1
44.2, 2.049, 33.2
44.6, 2.032, 100.0
45.8, 1.981, 29.8
65.5, 1.424, 19.5

a b c (Å): 3.961 4.738 8.189
angles (deg): 90.00 90.00 90.00
Positions (direct):
Hf: 0.000 0.000 0.000
Zr: 0.000 0.500 0.500
Ni: 0.000 0.000 0.332
Ni: 0.000 0.000 0.668
Ni: 0.000 0.500 0.165
Ni: 0.000 0.500 0.835
Ni: 0.500 0.000 0.500
Ni: 0.500 0.249 0.249
Ni: 0.500 0.249 0.751
Ni: 0.500 0.500 0.000
Ni: 0.500 0.751 0.249
Ni: 0.500 0.751 0.751

---

No. 6
Pr12Tl6Os: computed powder diffraction line list (Cu Kα (λ = 1.5418 Å)), based on the GGA-PBE geometry in Alexandria.
Intensities are scaled so that the largest is 100.

Most intense lines, 15° ≤ 2θ ≤ 90°, low angle first:
two_theta, d [Å], I/Imax
26.9, 3.310, 32.0
30.1, 2.973, 100.0
32.1, 2.788, 50.7
34.3, 2.614, 68.0
55.3, 1.662, 26.7
65.1, 1.434, 22.2

a b c (Å): 8.658 8.658 8.658
angles (deg): 94.08 94.08 94.08
Positions (direct):
Pr: 0.025 0.916 0.684
Pr: 0.084 0.316 0.975
Pr: 0.199 0.427 0.546
Pr: 0.316 0.975 0.084
Pr: 0.427 0.546 0.199
Pr: 0.454 0.801 0.573
Pr: 0.546 0.199 0.427
Pr: 0.573 0.454 0.801
Pr: 0.684 0.025 0.916
Pr: 0.801 0.573 0.454
Pr: 0.916 0.684 0.025
Pr: 0.975 0.084 0.316
Tl: 0.139 0.729 0.345
Tl: 0.271 0.655 0.861
Tl: 0.345 0.139 0.729
Tl: 0.655 0.861 0.271
Tl: 0.729 0.345 0.139
Tl: 0.861 0.271 0.655
Os: 0.000 0.000 0.000

---

No. 7
PrNdTe2Se: computed powder diffraction line list (Cu Kα (λ = 1.5418 Å)), based on the GGA-PBE geometry in Alexandria.
Intensities are scaled so that the largest is 100.

Most intense lines, 15° ≤ 2θ ≤ 90°, low angle first:
two_theta, d [Å], I/Imax
28.0, 3.190, 34.0
28.4, 3.146, 100.0
34.6, 2.592, 24.8
36.4, 2.470, 75.8
40.6, 2.224, 69.6
50.0, 1.825, 26.9

a b c (Å): 4.448 4.448 15.950
angles (deg): 90.00 90.00 90.00
Positions (direct):
Pr: 0.250 0.250 0.093
Pr: 0.750 0.750 0.907
Nd: 0.250 0.250 0.629
Nd: 0.750 0.750 0.371
Te: 0.250 0.250 0.295
Te: 0.250 0.250 0.888
Te: 0.750 0.750 0.112
Te: 0.750 0.750 0.705
Se: 0.250 0.750 0.500
Se: 0.750 0.250 0.500

---

No. 8
LuZrC: computed powder diffraction line list (Cu Kα (λ = 1.5418 Å)), based on the GGA-PBE geometry in Alexandria.
Intensities are scaled so that the largest is 100.

Most intense lines, 15° ≤ 2θ ≤ 90°, low angle first:
two_theta, d [Å], I/Imax
30.2, 2.955, 25.0
31.6, 2.832, 23.3
34.2, 2.620, 100.0
44.3, 2.045, 24.6
53.7, 1.706, 19.2
58.0, 1.591, 20.5

a b c (Å): 3.412 3.412 5.665
angles (deg): 90.00 90.00 120.00
Positions (direct):
Lu: 0.000 0.000 0.000
Zr: 0.667 0.333 0.542
C: 0.333 0.667 0.745